Record 1
Nd3Si3Ni: theoretical X-ray powder pattern (Cu Kα (λ = 1.5418 Å)), based on DFT lattice parameters and positions (GGA-PBE).
No peak broadening, texture or thermal motion is included.

Structural model:
abc: 4.0209 4.3067 18.0356
angles: 90.00 90.00 90.00
Space group Imm2 (No. 44)
One atom of each set of equivalent atoms:
1 Nd 0.0000 0.0000 0.0000 x2
2 Nd 0.0000 0.0000 0.3654 x2
3 Nd 0.0000 0.5000 0.6807 x2
4 Si 0.0000 0.0000 0.5471 x2
5 Si 0.0000 0.0000 0.8206 x2
6 Si 0.0000 0.5000 0.2390 x2
7 Ni 0.0000 0.5000 0.1138 x2

The 10 most intense peaks (2θ from 15° to 90°), low angle first:
(hkl)	d_spacing	Position (°2θ)	I/Imax
1 0 3	3.342	26.67	55
0 0 6	3.006	29.72	20
1 1 2	2.794	32.03	100
0 1 5	2.765	32.38	60
1 1 4	2.462	36.49	22
1 0 7	2.169	41.63	16
0 2 0	2.153	41.96	24
2 0 0	2.010	45.10	19
1 2 3	1.811	50.40	23
2 1 5	1.626	56.60	24

=====

Record 2
Nd12SiNi6: theoretical X-ray powder pattern (Cu Kα (λ = 1.5418 Å)), based on DFT lattice parameters and positions (GGA-PBE).
No peak broadening, texture or thermal motion is included.

Structural model:
abc: 9.9801 9.9801 9.9801
angles: 90.00 90.00 90.00
Space group Im-3 (No. 204)
One atom of each set of equivalent atoms:
1 Nd 0.0000 0.1846 0.3032 x24
2 Si 0.0000 0.0000 0.0000 x2
3 Ni 0.0000 0.3772 0.5000 x12

The 10 most intense peaks (2θ from 15° to 90°), low angle first:
(hkl)	d_spacing	Position (°2θ)	I/Imax
3 1 0	3.156	28.28	39
2 2 2	2.881	31.04	33
3 2 1	2.667	33.60	100
5 1 0	1.957	46.39	19
5 0 3	1.712	53.54	36
6 0 0	1.663	55.22	14
5 3 2	1.619	56.87	31
5 4 3	1.411	66.21	15
8 2 2	1.176	81.91	14
7 5 0	1.160	83.29	16

=====

Record 3
NdSm2Ni6: theoretical X-ray powder pattern (Cu Kα (λ = 1.5418 Å)), based on DFT lattice parameters and positions (GGA-PBE).
No peak broadening, texture or thermal motion is included.

Structural model:
abc: 6.9451 6.9451 3.9437
angles: 90.00 90.00 120.00
Space group P6/mmm (No. 191)
One atom of each set of equivalent atoms:
1 Nd 0.0000 0.0000 0.0000 x1
2 Sm 0.3333 0.6667 0.0000 x2
3 Ni 0.0000 0.3341 0.5000 x6

The 10 most intense peaks (2θ from 15° to 90°), low angle first:
(hkl)	d_spacing	Position (°2θ)	I/Imax
1 1 0	3.473	25.65	16
1 1 1	2.606	34.41	100
3 0 0	2.005	45.23	39
0 0 2	1.972	46.03	12
1 1 2	1.715	53.44	4
2 2 1	1.589	58.04	22
3 0 2	1.406	66.51	24
4 1 1	1.245	76.49	19
1 1 3	1.229	77.67	9
3 3 0	1.158	83.52	6

=====

Record 4
NdSm12Ni6: theoretical X-ray powder pattern (Cu Kα (λ = 1.5418 Å)), based on DFT lattice parameters and positions (GGA-PBE).
No peak broadening, texture or thermal motion is included.

Structural model:
abc: 10.0518 10.0518 10.0518
angles: 90.00 90.00 90.00
Space group Im-3 (No. 204)
One atom of each set of equivalent atoms:
1 Nd 0.0000 0.0000 0.0000 x2
2 Sm 0.0000 0.1848 0.3121 x24
3 Ni 0.0000 0.3779 0.5000 x12

The 10 most intense peaks (2θ from 15° to 90°), low angle first:
(hkl)	d_spacing	Position (°2θ)	I/Imax
3 1 0	3.179	28.07	49
2 2 2	2.902	30.81	32
3 2 1	2.686	33.35	100
5 1 0	1.971	46.04	25
5 0 3	1.724	53.13	32
6 0 0	1.675	54.80	16
5 3 2	1.631	56.43	33
5 3 4	1.422	65.68	16
6 6 0	1.185	81.20	17
8 1 3	1.169	82.56	16

=====

Record 5
NdSm3Ni2: theoretical X-ray powder pattern (Cu Kα (λ = 1.5418 Å)), based on DFT lattice parameters and positions (GGA-PBE).
No peak broadening, texture or thermal motion is included.

Structural model:
abc: 16.4789 3.9511 11.7505
angles: 90.00 123.92 90.00
Space group C2/m (No. 12)
One atom of each set of equivalent atoms:
1 Nd 0.1531 0.0000 0.2472 x4
2 Sm 0.0821 0.5000 0.4427 x4
3 Sm 0.0829 0.5000 0.9405 x4
4 Sm 0.1548 0.0000 0.7486 x4
5 Ni 0.2322 0.0000 0.0479 x4
6 Ni 0.2320 0.0000 0.5486 x4

The 10 most intense peaks (2θ from 15° to 90°), low angle first:
(hkl)	d_spacing	Position (°2θ)	I/Imax
3 1 -2	3.100	28.80	68
3 1 0	2.986	29.93	48
4 0 -4	2.888	30.97	48
1 1 2	2.793	32.05	100
6 0 -2	2.730	32.80	47
5 1 -2	2.531	35.47	37
5 1 0	2.246	40.14	51
1 1 -4	2.213	40.78	32
0 2 0	1.976	45.94	35
7 1 -6	1.683	54.54	33

=====

Record 6
Nd6NiSn3: theoretical X-ray powder pattern (Cu Kα (λ = 1.5418 Å)), based on DFT lattice parameters and positions (GGA-PBE).
No peak broadening, texture or thermal motion is included.

Structural model:
abc: 11.8902 15.3638 7.3778
angles: 90.00 90.00 90.00
Space group Cmc2_1 (No. 36)
One atom of each set of equivalent atoms:
1 Nd 0.0000 0.0076 0.0000 x4
2 Nd 0.0000 0.2413 0.0906 x4
3 Nd 0.1548 0.2535 0.6042 x8
4 Nd 0.1699 0.4659 0.1039 x8
5 Ni 0.0000 0.1427 0.7571 x4
6 Sn 0.0000 0.3936 0.4047 x4
7 Sn 0.1779 0.1132 0.2843 x8

The 10 most intense peaks (2θ from 15° to 90°), low angle first:
(hkl)	d_spacing	Position (°2θ)	I/Imax
2 2 1	3.965	22.42	49
3 1 1	3.405	26.17	25
3 3 0	3.134	28.48	30
3 3 1	2.885	31.00	85
0 4 2	2.660	33.69	100
3 5 0	2.428	37.02	23
3 1 3	2.071	43.71	40
6 0 0	1.982	45.79	24
6 4 2	1.589	58.03	24
3 7 3	1.513	61.25	29

=====

Record 7
Nd3NiSn7: theoretical X-ray powder pattern (Cu Kα (λ = 1.5418 Å)), based on DFT lattice parameters and positions (GGA-PBE).
No peak broadening, texture or thermal motion is included.

Structural model:
abc: 4.5886 4.5442 27.4567
angles: 90.00 90.00 90.00
Space group Amm2 (No. 38)
One atom of each set of equivalent atoms:
1 Nd 0.0000 0.0000 0.0000 x2
2 Nd 0.0000 0.0000 0.3715 x2
3 Nd 0.5000 0.0000 0.6859 x2
4 Ni 0.5000 0.0000 0.8156 x2
5 Sn 0.0000 0.0000 0.1846 x2
6 Sn 0.0000 0.0000 0.5904 x2
7 Sn 0.0000 0.0000 0.7764 x2
8 Sn 0.5000 0.0000 0.0907 x2
9 Sn 0.5000 0.0000 0.2753 x2
10 Sn 0.5000 0.0000 0.4764 x2
11 Sn 0.5000 0.0000 0.9066 x2

The 10 most intense peaks (2θ from 15° to 90°), low angle first:
(hkl)	d_spacing	Position (°2θ)	I/Imax
1 1 5	2.783	32.16	100
0 0 10	2.746	32.61	21
2 0 0	2.294	39.27	19
0 2 0	2.272	39.67	19
2 0 10	1.761	51.94	9
0 2 10	1.751	52.26	11
2 2 0	1.614	57.06	15
1 1 15	1.592	57.91	9
3 1 5	1.402	66.74	13
1 3 5	1.392	67.28	21

=====

Record 8
NdNi9Sn2: theoretical X-ray powder pattern (Cu Kα (λ = 1.5418 Å)), based on DFT lattice parameters and positions (GGA-PBE).
No peak broadening, texture or thermal motion is included.

Structural model:
abc: 8.2583 8.2583 4.9086
angles: 90.00 90.00 90.00
Space group P4/mbm (No. 127)
One atom of each set of equivalent atoms:
1 Nd 0.0000 0.0000 0.0000 x2
2 Ni 0.0000 0.5000 0.5000 x2
3 Ni 0.0669 0.2074 0.5000 x8
4 Ni 0.1733 0.6733 0.2466 x8
5 Sn 0.1276 0.3724 0.0000 x4

The 10 most intense peaks (2θ from 15° to 90°), low angle first:
(hkl)	d_spacing	Position (°2θ)	I/Imax
3 1 0	2.612	34.34	26
2 2 1	2.509	35.78	20
0 0 2	2.454	36.61	18
3 1 1	2.306	39.07	100
2 0 2	2.110	42.87	24
3 2 1	2.076	43.61	37
2 1 2	2.044	44.31	76
4 1 0	2.003	45.27	27
4 2 0	1.847	49.35	15
3 1 3	1.387	67.56	19